For Li3Cu5O8, a DFT-relaxed cell (GGA-PBE, the Materials Project) gives the theoretical X-ray powder pattern in this record (Cu Kα (weighted mean of Kα1 and Kα2)).

Main lines, sorted by position (10° ≤ 2θ ≤ 90°):
h k l  2theta  intensity
0 0 3  18.47  73
0 2 1  35.81  36
0 0 6  37.46  47
0 2 4  43.52  100
2 0 5  47.66  13
0 2 7  57.57  13
2 2 0  63.24  56
2 2 3  66.51  12
0 2 10  75.88  20
4 0 4  79.91  17

Cell and atoms:
a = 5.8801 Å, b = 5.8801 Å, c = 14.4122 Å
α = 90.00°, β = 90.00°, γ = 120.00°
Space group R-3m (No. 166, hexagonal axes)
Inequivalent atoms, fractional coordinates:
Li 0.0000 0.5000 0.0000 (multiplicity 9)
Cu 0.0000 0.0000 0.0000 (multiplicity 3)
Cu 0.0000 0.0000 0.5000 (multiplicity 3)
Cu 0.0000 0.5000 0.5000 (multiplicity 9)
O 0.0000 0.0000 0.2432 (multiplicity 6)
O 0.0079 0.5039 0.7539 (multiplicity 18)